No. 1
Structure and calculated X-ray diffraction stick pattern of BC2 (a crystal structure in Alexandria, relaxed with GGA-PBE; Cu Kα (weighted mean of Kα1 and Kα2)).
Neutral-atom scattering factors, no anomalous dispersion.

Most intense lines, 2θ from 5° to 70°, low angle first:
2theta  I (rel.)
21.12  4
23.07  15
26.90  4
31.39  2
39.66  2
40.60  43
42.82  100
43.00  47
49.29  1
57.65  1
63.99  2
64.38  2

Crystal structure
```
BC2
1.0
2.334 -3.875 0.000
2.334 3.875 0.000
-1.352 0.000 4.207
B C
4 8
Cartesian
0.000 0.000 0.000
1.635 2.574 2.407
0.405 0.000 1.684
1.635 -2.574 2.407
-0.485 1.347 4.063
-0.485 -1.347 4.063
2.401 1.283 0.296
2.506 1.265 1.839
1.756 0.000 2.362
1.738 0.000 3.912
2.401 -1.283 0.296
2.506 -1.265 1.839
```

=====

No. 2
Structure and calculated X-ray diffraction stick pattern of NbAuSe (a crystal structure in Alexandria, relaxed with GGA-PBE; Cu Kα (weighted mean of Kα1 and Kα2)).
Neutral-atom scattering factors, no anomalous dispersion.

Most intense lines, 2θ from 5° to 70°, low angle first:
2theta  I (rel.)
23.99  25
27.57  25
30.00  24
31.28  37
31.54  47
32.08  100
38.44  61
38.58  29
41.91  41
43.69  39
45.66  73
53.56  40

Crystal structure
```
NbAuSe
1.0
5.999 0.000 0.000
0.000 3.311 0.000
-2.225 0.000 6.470
Nb Au Se
2 2 2
Cartesian
1.239 0.828 0.026
2.535 2.483 6.445
0.364 2.483 4.647
3.410 0.828 1.823
0.482 2.483 1.889
3.291 0.828 4.581
```